No. 1
CdPd6Au8: simulated PXRD pattern (Cu Kα X-rays), based on a cell relaxed with PBE.
Intensities are scaled so that the largest is 100.

Largest 12 diffraction maxima, sorted by position, 5° ≤ 2θ ≤ 70°:
2θ = 20.9°, rel. 11; 2θ = 23.1°, rel. 13; 2θ = 28.2°, rel. 49; 2θ = 35.6°, rel. 6; 2θ = 40.2°, rel. 100; 2θ = 40.5°, rel. 99; 2θ = 42.5°, rel. 12; 2θ = 48.9°, rel. 7; 2θ = 50.1°, rel. 10; 2θ = 58.4°, rel. 30; 2θ = 66.4°, rel. 9; 2θ = 67.9°, rel. 6

Atomic structure:
Unit cell a=7.7082 b=7.7082 c=5.5239 alpha=90.00 beta=90.00 gamma=120.00
Sites, in units of the cell vectors:
Cd 0.0000 0.0000 0.0000
Pd 0.0283 0.3526 0.1401
Pd 0.3243 0.9717 0.1401
Pd 0.3526 0.3243 0.8599
Pd 0.6474 0.6757 0.1401
Pd 0.6757 0.0283 0.8599
Pd 0.9717 0.6474 0.8599
Au 0.0199 0.3364 0.6327
Au 0.3165 0.9801 0.6327
Au 0.3333 0.6667 0.8943
Au 0.3364 0.3165 0.3673
Au 0.6636 0.6835 0.6327
Au 0.6667 0.3333 0.1057
Au 0.6835 0.0199 0.3673
Au 0.9801 0.6636 0.3673

---

No. 2
ScTlTe: simulated PXRD pattern (Cu Kα X-rays), based on a cell relaxed with PBE.
Intensities are scaled so that the largest is 100.

Largest 12 diffraction maxima, sorted by position, 5° ≤ 2θ ≤ 70°:
2θ = 26.1°, rel. 14; 2θ = 26.9°, rel. 15; 2θ = 29.4°, rel. 100; 2θ = 37.8°, rel. 34; 2θ = 40.9°, rel. 6; 2θ = 46.0°, rel. 24; 2θ = 49.1°, rel. 14; 2θ = 54.1°, rel. 14; 2θ = 55.5°, rel. 18; 2θ = 61.0°, rel. 8; 2θ = 62.3°, rel. 10; 2θ = 63.2°, rel. 10

Atomic structure:
Unit cell a=3.9466 b=3.9466 c=6.6212 alpha=90.00 beta=90.00 gamma=120.00
Sites, in units of the cell vectors:
Sc 0.0000 0.0000 0.0000
Tl 0.6667 0.3333 0.6709
Te 0.3333 0.6667 0.2529

---

No. 3
Sm2InHg8: simulated PXRD pattern (Cu Kα X-rays), based on a cell relaxed with PBE.
Intensities are scaled so that the largest is 100.

Largest 12 diffraction maxima, sorted by position, 5° ≤ 2θ ≤ 70°:
2θ = 26.8°, rel. 4; 2θ = 30.2°, rel. 12; 2θ = 34.1°, rel. 100; 2θ = 34.9°, rel. 7; 2θ = 38.2°, rel. 41; 2θ = 42.2°, rel. 10; 2θ = 52.7°, rel. 9; 2θ = 55.1°, rel. 14; 2θ = 58.2°, rel. 15; 2θ = 64.4°, rel. 11; 2θ = 66.4°, rel. 30; 2θ = 66.9°, rel. 4

Atomic structure:
Unit cell a=4.7122 b=4.7122 c=12.8545 alpha=90.00 beta=90.00 gamma=90.00
Sites, in units of the cell vectors:
Sm 0.0000 0.0000 0.1845
Sm 0.0000 0.0000 0.8155
In 0.0000 0.0000 0.5000
Hg 0.0000 0.5000 0.0000
Hg 0.0000 0.5000 0.3567
Hg 0.0000 0.5000 0.6433
Hg 0.5000 0.0000 0.0000
Hg 0.5000 0.0000 0.3567
Hg 0.5000 0.0000 0.6433
Hg 0.5000 0.5000 0.1808
Hg 0.5000 0.5000 0.8192

---

No. 4
Ac4BiRhSe2: simulated PXRD pattern (Cu Kα X-rays), based on a cell relaxed with PBE.
Intensities are scaled so that the largest is 100.

Largest 12 diffraction maxima, sorted by position, 5° ≤ 2θ ≤ 70°:
2θ = 24.1°, rel. 8; 2θ = 27.5°, rel. 100; 2θ = 38.5°, rel. 13; 2θ = 39.1°, rel. 24; 2θ = 39.5°, rel. 26; 2θ = 40.0°, rel. 13; 2θ = 48.3°, rel. 7; 2θ = 49.3°, rel. 14; 2θ = 56.7°, rel. 9; 2θ = 63.1°, rel. 6; 2θ = 64.0°, rel. 10; 2θ = 65.2°, rel. 7

Atomic structure:
Unit cell a=7.9393 b=4.5075 c=8.0426 alpha=90.00 beta=108.34 gamma=90.00
Sites, in units of the cell vectors:
Ac 0.2374 0.0000 0.2275
Ac 0.2441 0.5000 0.7748
Ac 0.7559 0.5000 0.2252
Ac 0.7626 0.0000 0.7725
Bi 0.0000 0.0000 0.5000
Rh 0.0000 0.5000 0.0000
Se 0.5000 0.0000 0.0000
Se 0.5000 0.5000 0.5000

---

No. 5
Sn4OF6: simulated PXRD pattern (Cu Kα X-rays), based on a cell relaxed with PBE.
Intensities are scaled so that the largest is 100.

Largest 12 diffraction maxima, sorted by position, 5° ≤ 2θ ≤ 70°:
2θ = 13.4°, rel. 20; 2θ = 20.4°, rel. 15; 2θ = 24.4°, rel. 80; 2θ = 25.0°, rel. 100; 2θ = 26.1°, rel. 50; 2θ = 26.6°, rel. 29; 2θ = 28.0°, rel. 44; 2θ = 36.4°, rel. 14; 2θ = 37.1°, rel. 19; 2θ = 42.7°, rel. 15; 2θ = 45.3°, rel. 22; 2θ = 55.4°, rel. 19

Atomic structure:
Unit cell a=5.1220 b=10.9727 c=16.6450 alpha=90.00 beta=90.00 gamma=90.00
Sites, in units of the cell vectors:
Sn 0.0221 0.0946 0.4815
Sn 0.0262 0.2959 0.3113
Sn 0.0490 0.9708 0.8094
Sn 0.1440 0.6939 0.4116
Sn 0.3560 0.3061 0.9116
Sn 0.4510 0.0292 0.3094
Sn 0.4738 0.7041 0.8113
Sn 0.4779 0.9054 0.9815
Sn 0.5221 0.4054 0.5185
Sn 0.5262 0.2041 0.6887
Sn 0.5490 0.5292 0.1906
Sn 0.6440 0.8061 0.5884
Sn 0.8560 0.1939 0.0884
Sn 0.9510 0.4708 0.6906
Sn 0.9738 0.7959 0.1887
Sn 0.9779 0.5946 0.0185
O 0.1626 0.1350 0.3655
O 0.3374 0.8650 0.8655
O 0.6626 0.3650 0.6345
O 0.8374 0.6350 0.1345
F 0.1198 0.1969 0.2024
F 0.1451 0.4733 0.5773
F 0.1448 0.7729 0.0397
F 0.1474 0.2814 0.7068
F 0.1901 0.8786 0.3781
F 0.2238 0.2284 0.0343
F 0.2762 0.7716 0.5343
F 0.3099 0.1214 0.8781
F 0.3526 0.7186 0.2068
F 0.3552 0.2271 0.5397
F 0.3549 0.5267 0.0773
F 0.3802 0.8031 0.7024
F 0.6198 0.3031 0.7976
F 0.6451 0.0267 0.4227
F 0.6448 0.7271 0.9603
F 0.6474 0.2186 0.2932
F 0.6901 0.6214 0.6219
F 0.7238 0.2716 0.9657
F 0.7762 0.7284 0.4657
F 0.8099 0.3786 0.1219
F 0.8526 0.7814 0.7932
F 0.8552 0.2729 0.4603
F 0.8549 0.9733 0.9227
F 0.8802 0.6969 0.2976

---

No. 6
CsYMgF6: simulated PXRD pattern (Cu Kα X-rays), based on a cell relaxed with PBE.
Intensities are scaled so that the largest is 100.

Largest 12 diffraction maxima, sorted by position, 5° ≤ 2θ ≤ 70°:
2θ = 16.3°, rel. 36; 2θ = 22.9°, rel. 25; 2θ = 23.2°, rel. 21; 2θ = 26.2°, rel. 100; 2θ = 27.0°, rel. 51; 2θ = 28.5°, rel. 32; 2θ = 35.9°, rel. 27; 2θ = 36.9°, rel. 15; 2θ = 41.7°, rel. 21; 2θ = 42.7°, rel. 19; 2θ = 46.8°, rel. 19; 2θ = 55.6°, rel. 14

Atomic structure:
Unit cell a=7.7808 b=7.7808 c=7.7808 alpha=121.08 beta=117.11 gamma=91.61
Sites, in units of the cell vectors:
Cs 0.3250 0.0750 0.2500
Cs 0.6750 0.9250 0.7500
Y 0.0000 0.5000 0.5000
Y 0.5000 0.5000 0.0000
Mg 0.0000 0.0000 0.5000
Mg 0.0000 0.5000 0.0000
F 0.0393 0.7893 0.2500
F 0.0463 0.4051 0.2120
F 0.0463 0.8343 0.6411
F 0.3068 0.1657 0.7120
F 0.3068 0.5949 0.1411
F 0.3356 0.5856 0.7500
F 0.6644 0.4144 0.2500
F 0.6932 0.4051 0.8589
F 0.6932 0.8343 0.2880
F 0.9537 0.1657 0.3589
F 0.9537 0.5949 0.7880
F 0.9607 0.2107 0.7500

---

No. 7
K2PrCl5: simulated PXRD pattern (Cu Kα X-rays), based on a cell relaxed with PBE.
Intensities are scaled so that the largest is 100.

Largest 12 diffraction maxima, sorted by position, 5° ≤ 2θ ≤ 70°:
2θ = 12.8°, rel. 100; 2θ = 13.6°, rel. 51; 2θ = 20.1°, rel. 42; 2θ = 23.2°, rel. 41; 2θ = 23.9°, rel. 57; 2θ = 24.3°, rel. 38; 2θ = 30.5°, rel. 34; 2θ = 32.8°, rel. 56; 2θ = 34.2°, rel. 45; 2θ = 37.2°, rel. 46; 2θ = 40.8°, rel. 44; 2θ = 41.7°, rel. 40

Atomic structure:
Unit cell a=13.0450 b=8.8525 c=8.1741 alpha=90.00 beta=90.00 gamma=90.00
Sites, in units of the cell vectors:
K 0.1732 0.0028 0.0427
K 0.1732 0.4972 0.0427
K 0.3268 0.5028 0.5427
K 0.3268 0.9972 0.5427
K 0.6732 0.0028 0.4573
K 0.6732 0.4972 0.4573
K 0.8268 0.5028 0.9573
K 0.8268 0.9972 0.9573
Pr 0.0061 0.2500 0.5741
Pr 0.4939 0.7500 0.0741
Pr 0.5061 0.2500 0.9259
Pr 0.9939 0.7500 0.4259
Cl 0.0097 0.2500 0.9191
Cl 0.0810 0.5421 0.6597
Cl 0.0810 0.9579 0.6597
Cl 0.1768 0.2500 0.3675
Cl 0.2023 0.7500 0.3302
Cl 0.2977 0.2500 0.8302
Cl 0.3232 0.7500 0.8675
Cl 0.4190 0.0421 0.1597
Cl 0.4190 0.4579 0.1597
Cl 0.4903 0.7500 0.4191
Cl 0.5097 0.2500 0.5809
Cl 0.5810 0.5421 0.8403
Cl 0.5810 0.9579 0.8403
Cl 0.6768 0.2500 0.1325
Cl 0.7023 0.7500 0.1698
Cl 0.7977 0.2500 0.6698
Cl 0.8232 0.7500 0.6325
Cl 0.9190 0.0421 0.3403
Cl 0.9190 0.4579 0.3403
Cl 0.9903 0.7500 0.0809

---

No. 8
Sr2Bi3SbPt4: simulated PXRD pattern (Cu Kα X-rays), based on a cell relaxed with PBE.
Intensities are scaled so that the largest is 100.

Largest 12 diffraction maxima, sorted by position, 5° ≤ 2θ ≤ 70°:
2θ = 16.6°, rel. 39; 2θ = 19.9°, rel. 46; 2θ = 30.7°, rel. 81; 2θ = 31.0°, rel. 64; 2θ = 36.5°, rel. 100; 2θ = 40.3°, rel. 17; 2θ = 42.7°, rel. 82; 2θ = 48.6°, rel. 37; 2θ = 52.6°, rel. 36; 2θ = 58.3°, rel. 17; 2θ = 62.1°, rel. 22; 2θ = 70.0°, rel. 39

Atomic structure:
Unit cell a=4.9243 b=4.9243 c=10.6714 alpha=90.00 beta=90.00 gamma=90.00
Sites, in units of the cell vectors:
Sr 0.0000 0.5000 0.2358
Sr 0.5000 0.0000 0.7642
Bi 0.0000 0.5000 0.8737
Bi 0.5000 0.0000 0.1263
Bi 0.5000 0.5000 0.5000
Sb 0.0000 0.0000 0.5000
Pt 0.0000 0.0000 0.0000
Pt 0.0000 0.5000 0.6168
Pt 0.5000 0.0000 0.3832
Pt 0.5000 0.5000 0.0000

---

No. 9
Rb2TcICl6: simulated PXRD pattern (Cu Kα X-rays), based on a cell relaxed with PBE.
Intensities are scaled so that the largest is 100.

Largest 12 diffraction maxima, sorted by position, 5° ≤ 2θ ≤ 70°:
2θ = 14.8°, rel. 65; 2θ = 16.7°, rel. 34; 2θ = 20.4°, rel. 75; 2θ = 22.1°, rel. 46; 2θ = 25.4°, rel. 40; 2θ = 29.3°, rel. 39; 2θ = 29.7°, rel. 100; 2θ = 29.8°, rel. 43; 2θ = 31.8°, rel. 31; 2θ = 32.4°, rel. 57; 2θ = 33.8°, rel. 28; 2θ = 45.2°, rel. 38

Atomic structure:
Unit cell a=7.0482 b=7.0528 c=8.4853 alpha=70.78 beta=70.86 gamma=60.26
Sites, in units of the cell vectors:
Rb 0.0000 0.0000 0.0000
Rb 0.4085 0.4087 0.5037
Tc 0.6974 0.7111 0.7521
I 0.9506 0.4582 0.2521
Cl 0.0202 0.5520 0.8673
Cl 0.3872 0.8708 0.6218
Cl 0.5200 0.5333 0.0023
Cl 0.5408 0.0197 0.8829
Cl 0.8531 0.3898 0.6366
Cl 0.8757 0.8877 0.5018